For Th4GaCu, DFT lattice parameters and positions (GGA-PBE) gives the simulated powder diffractogram in this record (copper Kα).
Intensities are scaled so that the largest is 100.

Cell and atoms:
a b c (Å): 7.5038 7.5038 5.6538
angles (deg): 90.00 90.00 90.00
Fractional coordinates of all 12 atoms:
Th1 0.1559 0.3378 0.0000
Th2 0.1559 0.6622 0.5000
Th3 0.3378 0.1559 0.5000
Th4 0.3378 0.8441 0.0000
Th5 0.6622 0.1559 0.0000
Th6 0.6622 0.8441 0.5000
Th7 0.8441 0.3378 0.5000
Th8 0.8441 0.6622 0.0000
Ga1 0.5000 0.5000 0.2500
Ga2 0.5000 0.5000 0.7500
Cu1 0.0000 0.0000 0.2500
Cu2 0.0000 0.0000 0.7500

Peak list (10 most intense, 2θ from 5° to 70°, low angle first)
| Position (°2θ) | I/Imax |
| --- | --- |
| 31.0 | 100 |
| 31.7 | 14 |
| 36.0 | 12 |
| 37.9 | 24 |
| 39.9 | 14 |
| 52.8 | 16 |
| 56.0 | 20 |
| 59.1 | 9 |
| 61.9 | 16 |
| 69.5 | 13 |



For Rb2CeI4Cl2, DFT lattice parameters and positions (GGA-PBE) gives the simulated powder diffractogram in this record (copper Kα).
Intensities are scaled so that the largest is 100.

Cell and atoms:
a b c (Å): 8.0213 8.0213 6.8846
angles (deg): 99.54 99.54 63.61
Fractional coordinates of all 9 atoms:
Rb1 0.1656 0.1656 0.2868
Rb2 0.8344 0.8344 0.7132
Ce1 0.5000 0.5000 0.0000
I1 0.1435 0.6582 0.2039
I2 0.3418 0.8565 0.7961
I3 0.6582 0.1435 0.2039
I4 0.8565 0.3418 0.7961
Cl1 0.3464 0.3464 0.7053
Cl2 0.6536 0.6536 0.2947

Peak list (10 most intense, 2θ from 5° to 70°, low angle first)
| Position (°2θ) | I/Imax |
| --- | --- |
| 13.1 | 21 |
| 19.0 | 17 |
| 20.4 | 32 |
| 26.4 | 21 |
| 27.0 | 100 |
| 29.5 | 38 |
| 34.6 | 23 |
| 42.8 | 19 |
| 45.7 | 18 |
| 46.0 | 23 |



For RbAc3Te4O12, DFT lattice parameters and positions (GGA-PBE) gives the simulated powder diffractogram in this record (copper Kα).
Intensities are scaled so that the largest is 100.

Cell and atoms:
a b c (Å): 8.2051 8.2051 8.2051
angles (deg): 107.41 107.41 107.41
Fractional coordinates of all 20 atoms:
Rb1 0.0000 0.0000 0.0000
Ac1 0.0000 0.5509 0.4491
Ac2 0.4491 0.0000 0.5509
Ac3 0.5509 0.4491 0.0000
Te1 0.0477 0.5000 0.9523
Te2 0.5000 0.5000 0.5000
Te3 0.5000 0.9523 0.0477
Te4 0.9523 0.0477 0.5000
O1 0.0565 0.6281 0.7872
O2 0.1133 0.8867 0.5000
O3 0.2128 0.3719 0.9435
O4 0.3443 0.6557 0.5000
O5 0.3719 0.9435 0.2128
O6 0.5000 0.1133 0.8867
O7 0.5000 0.3443 0.6557
O8 0.6281 0.7872 0.0565
O9 0.6557 0.5000 0.3443
O10 0.7872 0.0565 0.6281
O11 0.8867 0.5000 0.1133
O12 0.9435 0.2128 0.3719

Peak list (10 most intense, 2θ from 5° to 70°, low angle first)
| Position (°2θ) | I/Imax |
| --- | --- |
| 13.4 | 17 |
| 22.8 | 35 |
| 25.2 | 100 |
| 27.0 | 43 |
| 29.8 | 38 |
| 43.2 | 23 |
| 45.2 | 23 |
| 47.3 | 22 |
| 49.7 | 16 |
| 51.4 | 16 |



For CeDy3Se4, DFT lattice parameters and positions (GGA-PBE) gives the simulated powder diffractogram in this record (copper Kα).
Intensities are scaled so that the largest is 100.

Cell and atoms:
a b c (Å): 7.1506 8.1670 7.1094
angles (deg): 90.00 109.27 90.00
Fractional coordinates of all 16 atoms:
Ce1 0.0000 0.1229 0.2500
Ce2 0.0000 0.8771 0.7500
Dy1 0.0000 0.3714 0.7500
Dy2 0.0000 0.6286 0.2500
Dy3 0.5000 0.1242 0.7500
Dy4 0.5000 0.3738 0.2500
Dy5 0.5000 0.6262 0.7500
Dy6 0.5000 0.8758 0.2500
Se1 0.2527 0.3794 0.5034
Se2 0.2527 0.6206 0.0034
Se3 0.2585 0.1289 0.0004
Se4 0.2585 0.8711 0.5004
Se5 0.7415 0.1289 0.4996
Se6 0.7415 0.8711 0.9996
Se7 0.7473 0.3794 0.9966
Se8 0.7473 0.6206 0.4966

Peak list (10 most intense, 2θ from 5° to 70°, low angle first)
| Position (°2θ) | I/Imax |
| --- | --- |
| 26.7 | 10 |
| 30.8 | 100 |
| 43.9 | 13 |
| 44.0 | 25 |
| 44.2 | 25 |
| 44.4 | 12 |
| 54.4 | 7 |
| 54.7 | 7 |
| 55.0 | 13 |
| 64.2 | 8 |



For PmTcW, DFT lattice parameters and positions (GGA-PBE) gives the simulated powder diffractogram in this record (copper Kα).
Intensities are scaled so that the largest is 100.

Cell and atoms:
a b c (Å): 5.4581 4.3204 5.7319
angles (deg): 90.00 104.14 90.00
Fractional coordinates of all 6 atoms:
Pm1 0.2419 0.2500 0.4326
Pm2 0.7581 0.7500 0.5674
Tc1 0.0976 0.2500 0.9012
Tc2 0.9024 0.7500 0.0988
W1 0.3564 0.7500 0.9625
W2 0.6436 0.2500 0.0375

Peak list (10 most intense, 2θ from 5° to 70°, low angle first)
| Position (°2θ) | I/Imax |
| --- | --- |
| 15.9 | 41 |
| 28.9 | 30 |
| 32.2 | 41 |
| 32.5 | 41 |
| 33.3 | 77 |
| 39.9 | 100 |
| 41.8 | 43 |
| 53.8 | 25 |
| 54.0 | 20 |
| 58.7 | 18 |



For LaTb3Pm3, DFT lattice parameters and positions (GGA-PBE) gives the simulated powder diffractogram in this record (copper Kα).
Intensities are scaled so that the largest is 100.

Cell and atoms:
a b c (Å): 6.4248 6.4248 6.4248
angles (deg): 103.48 103.48 103.48
Fractional coordinates of all 7 atoms:
La1 0.0000 0.0000 0.0000
Tb1 0.4550 0.8566 0.8566
Tb2 0.8566 0.4550 0.8566
Tb3 0.8566 0.8566 0.4550
Pm1 0.0484 0.4123 0.4123
Pm2 0.4123 0.0484 0.4123
Pm3 0.4123 0.4123 0.0484

Peak list (10 most intense, 2θ from 5° to 70°, low angle first)
| Position (°2θ) | I/Imax |
| --- | --- |
| 29.2 | 24 |
| 30.0 | 98 |
| 30.7 | 100 |
| 33.0 | 23 |
| 35.0 | 77 |
| 35.6 | 30 |
| 45.7 | 22 |
| 50.8 | 25 |
| 57.4 | 22 |
| 65.3 | 26 |



For Ac2TmSn3, DFT lattice parameters and positions (GGA-PBE) gives the simulated powder diffractogram in this record (copper Kα).
Intensities are scaled so that the largest is 100.

Cell and atoms:
a b c (Å): 7.3256 7.3256 10.6314
angles (deg): 111.27 111.27 53.58
Fractional coordinates of all 12 atoms:
Ac1 0.1782 0.1799 0.0894
Ac2 0.1799 0.1782 0.5894
Ac3 0.8201 0.8218 0.4106
Ac4 0.8218 0.8201 0.9106
Tm1 0.4983 0.5017 0.7500
Tm2 0.5017 0.4983 0.2500
Sn1 0.0020 0.9980 0.2500
Sn2 0.3690 0.3707 0.4351
Sn3 0.3707 0.3690 0.9351
Sn4 0.6293 0.6310 0.0649
Sn5 0.6310 0.6293 0.5649
Sn6 0.9980 0.0020 0.7500

Peak list (10 most intense, 2θ from 5° to 70°, low angle first)
| Position (°2θ) | I/Imax |
| --- | --- |
| 21.5 | 14 |
| 26.2 | 25 |
| 27.0 | 63 |
| 28.0 | 100 |
| 33.7 | 36 |
| 39.3 | 82 |
| 43.7 | 35 |
| 56.9 | 18 |
| 63.5 | 21 |
| 64.1 | 20 |



For Tb6AlPt2, DFT lattice parameters and positions (GGA-PBE) gives the simulated powder diffractogram in this record (copper Kα).
Intensities are scaled so that the largest is 100.

Cell and atoms:
a b c (Å): 8.5440 8.5440 8.5440
angles (deg): 113.11 111.21 104.22
Fractional coordinates of all 18 atoms:
Tb1 0.0424 0.2373 0.8051
Tb2 0.1805 0.2871 0.4676
Tb3 0.1805 0.7129 0.8935
Tb4 0.3306 0.0288 0.6982
Tb5 0.3306 0.6324 0.3018
Tb6 0.4322 0.2373 0.1949
Tb7 0.5678 0.7627 0.8051
Tb8 0.6694 0.3676 0.6982
Tb9 0.6694 0.9712 0.3018
Tb10 0.8195 0.2871 0.1065
Tb11 0.8195 0.7129 0.5324
Tb12 0.9576 0.7627 0.1949
Al1 0.0000 0.0000 0.0000
Al2 0.5000 0.5000 0.0000
Pt1 0.1346 0.6346 0.5000
Pt2 0.3347 0.0000 0.3347
Pt3 0.6653 0.0000 0.6653
Pt4 0.8654 0.3654 0.5000

Peak list (10 most intense, 2θ from 5° to 70°, low angle first)
| Position (°2θ) | I/Imax |
| --- | --- |
| 13.1 | 85 |
| 31.5 | 59 |
| 33.2 | 100 |
| 34.0 | 89 |
| 34.8 | 100 |
| 35.2 | 50 |
| 38.2 | 40 |
| 38.5 | 43 |
| 39.1 | 52 |
| 59.5 | 42 |